Record 1
The following is a calculated X-ray powder pattern of PrCd3. It was derived from a structure optimized by DFT (GGA-PBE), using Cu Kα (weighted mean of Kα1 and Kα2).

Largest 9 diffraction maxima, sorted by position, 10° ≤ 2θ ≤ 80°:
two_theta  I (rel.)  h k l
18.81  1  1 0 0
26.72  1  1 1 0
32.88  100  1 1 1
38.12  33  2 0 0
38.23  17  0 0 2
55.06  33  2 2 0
65.59  26  3 1 1
65.74  13  1 1 3
68.96  11  2 2 2

Structural model:
```
data_PrCd3
_space_group_name_H-M_alt 'P 4/m m m'
_space_group_IT_number 123
_space_group_name_Hall '-P 4 2'
_cell_length_a 4.7217
_cell_length_b 4.7217
_cell_length_c 4.7089
_cell_angle_alpha 90.00
_cell_angle_beta 90.00
_cell_angle_gamma 90.00
loop_
_atom_site_label
_atom_site_type_symbol
_atom_site_fract_x
_atom_site_fract_y
_atom_site_fract_z
Pr1 Pr 0.0000 0.0000 0.0000
Cd1 Cd 0.0000 0.5000 0.5000
Cd2 Cd 0.5000 0.5000 0.0000
```

=====

Record 2
The following is a calculated X-ray powder pattern of Zr6CoAu2. It was derived from a structure optimized by DFT (GGA-PBE), using Cu Kα (weighted mean of Kα1 and Kα2).

Largest 10 diffraction maxima, sorted by position, 10° ≤ 2θ ≤ 80°:
two_theta  I (rel.)  h k l
22.37  33  1 1 0
34.48  60  2 1 0
34.97  100  1 1 1
37.40  73  2 0 1
39.27  60  3 0 0
44.02  47  2 1 1
61.77  18  4 1 0
65.30  31  3 2 1
68.42  27  4 1 1
69.32  22  3 0 2

Structural model:
```
data_Zr6CoAu2
_space_group_name_H-M_alt 'P -6 2 m'
_space_group_IT_number 189
_space_group_name_Hall 'P -6 -2'
_cell_length_a 7.9469
_cell_length_b 7.9469
_cell_length_c 3.3605
_cell_angle_alpha 90.00
_cell_angle_beta 90.00
_cell_angle_gamma 120.00
loop_
_atom_site_label
_atom_site_type_symbol
_atom_site_fract_x
_atom_site_fract_y
_atom_site_fract_z
Zr1 Zr 0.0000 0.3981 0.0000
Zr2 Zr 0.0000 0.7578 0.5000
Co1 Co 0.0000 0.0000 0.0000
Au1 Au 0.3333 0.6667 0.5000
```

=====

Record 3
The following is a calculated X-ray powder pattern of Pr3TmS4. It was derived from a structure optimized by DFT (GGA-PBE), using Cu Kα (weighted mean of Kα1 and Kα2).

Largest 10 diffraction maxima, sorted by position, 10° ≤ 2θ ≤ 80°:
two_theta  I (rel.)  h k l
26.70  20  2 0 0
27.11  57  1 2 -1
31.29  100  1 2 1
44.57  37  2 0 2
45.09  36  1 2 -3
53.15  13  3 2 -3
55.91  19  0 0 4
65.32  8  2 4 2
73.75  11  3 2 3
74.60  10  0 4 4

Structural model:
```
data_Pr3TmS4
_space_group_name_H-M_alt 'P 1 2/c 1'
_space_group_IT_number 13
_space_group_name_Hall '-P 2yc'
_cell_length_a 7.0735
_cell_length_b 8.0324
_cell_length_c 6.9729
_cell_angle_alpha 90.00
_cell_angle_beta 109.26
_cell_angle_gamma 90.00
loop_
_atom_site_label
_atom_site_type_symbol
_atom_site_fract_x
_atom_site_fract_y
_atom_site_fract_z
Pr1 Pr 0.0000 0.1218 0.2500
Pr2 Pr 0.0000 0.3733 0.7500
Pr3 Pr 0.5000 0.1236 0.7500
Tm1 Tm 0.5000 0.3736 0.2500
S1 S 0.2597 0.1349 0.0097
S2 S 0.2672 0.3836 0.4993
```

=====

Record 4
The following is a calculated X-ray powder pattern of RbCaHfF7. It was derived from a structure optimized by DFT (GGA-PBE), using Cu Kα (weighted mean of Kα1 and Kα2).

Largest 10 diffraction maxima, sorted by position, 10° ≤ 2θ ≤ 80°:
two_theta  I (rel.)  h k l
15.71  23  0 2 0
18.22  88  1 1 1
20.67  34  0 0 2
25.65  100  2 0 0
26.07  50  0 2 2
26.97  64  1 3 0
36.92  28  2 2 2
42.07  36  0 0 4
46.08  26  3 3 0
47.36  33  1 5 2

Structural model:
```
data_RbCaHfF7
_space_group_name_H-M_alt 'C m c m'
_space_group_IT_number 63
_space_group_name_Hall '-C 2c 2'
_cell_length_a 6.9384
_cell_length_b 11.2801
_cell_length_c 8.5949
_cell_angle_alpha 90.00
_cell_angle_beta 90.00
_cell_angle_gamma 90.00
loop_
_atom_site_label
_atom_site_type_symbol
_atom_site_fract_x
_atom_site_fract_y
_atom_site_fract_z
Rb1 Rb 0.0000 0.0000 0.0000
Ca1 Ca 0.0000 0.3105 0.2500
Hf1 Hf 0.0000 0.3059 0.7500
F1 F 0.0000 0.2987 0.5154
F2 F 0.0000 0.4871 0.7500
F3 F 0.1740 0.1530 0.7500
F4 F 0.2089 0.1435 0.2500
```

=====

Record 5
The following is a calculated X-ray powder pattern of Cs2Ba3F8. It was derived from a structure optimized by DFT (GGA-PBE), using Cu Kα (weighted mean of Kα1 and Kα2).

Largest 10 diffraction maxima, sorted by position, 10° ≤ 2θ ≤ 80°:
two_theta  I (rel.)  h k l
11.94  31  1 0 -1
23.03  30  2 0 0
24.01  84  2 0 -2
26.26  47  0 0 3
26.64  56  1 1 1
27.27  100  1 1 -2
39.33  51  3 1 -1
39.59  28  1 1 -4
42.26  28  0 2 0
46.41  28  3 1 -4

Structural model:
```
data_Cs2Ba3F8
_space_group_name_H-M_alt 'P 1 2/m 1'
_space_group_IT_number 10
_space_group_name_Hall '-P 2y'
_cell_length_a 8.1615
_cell_length_b 4.2774
_cell_length_c 10.7594
_cell_angle_alpha 90.00
_cell_angle_beta 108.86
_cell_angle_gamma 90.00
loop_
_atom_site_label
_atom_site_type_symbol
_atom_site_fract_x
_atom_site_fract_y
_atom_site_fract_z
Cs1 Cs 0.2467 0.0000 0.2975
Ba1 Ba 0.2330 0.5000 0.6605
Ba2 Ba 0.5000 0.0000 0.0000
F1 F 0.1015 0.5000 0.4028
F2 F 0.2051 0.0000 0.8119
F3 F 0.3753 0.0000 0.5970
F4 F 0.4540 0.5000 0.1336
```

=====

Record 6
The following is a calculated X-ray powder pattern of Ce2As3PPd4. It was derived from a structure optimized by DFT (GGA-PBE), using Cu Kα (weighted mean of Kα1 and Kα2).

Largest 10 diffraction maxima, sorted by position, 10° ≤ 2θ ≤ 80°:
two_theta  I (rel.)  h k l
28.49  25  1 1 0
34.05  100  1 1 2
34.31  87  1 0 3
40.72  84  2 0 0
47.37  19  1 1 4
51.37  22  1 0 5
54.28  46  2 1 3
58.95  28  2 2 0
67.53  22  2 1 5
69.86  24  3 1 2

Structural model:
```
data_Ce2As3PPd4
_space_group_name_H-M_alt 'P -4 m 2'
_space_group_IT_number 115
_space_group_name_Hall 'P -4 -2'
_cell_length_a 4.4314
_cell_length_b 4.4314
_cell_length_c 9.7096
_cell_angle_alpha 90.00
_cell_angle_beta 90.00
_cell_angle_gamma 90.00
loop_
_atom_site_label
_atom_site_type_symbol
_atom_site_fract_x
_atom_site_fract_y
_atom_site_fract_z
Ce1 Ce 0.0000 0.5000 0.2433
As1 As 0.0000 0.0000 0.0000
As2 As 0.0000 0.5000 0.6346
P1 P 0.5000 0.5000 0.0000
Pd1 Pd 0.0000 0.0000 0.5000
Pd2 Pd 0.0000 0.5000 0.8881
Pd3 Pd 0.5000 0.5000 0.5000
```

=====

Record 7
The following is a calculated X-ray powder pattern of La8GeBi3Te4. It was derived from a structure optimized by DFT (GGA-PBE), using Cu Kα (weighted mean of Kα1 and Kα2).

Largest 10 diffraction maxima, sorted by position, 10° ≤ 2θ ≤ 80°:
two_theta  I (rel.)  h k l
27.29  100  0 2 4
38.90  39  2 2 0
39.05  38  2 0 8
48.17  21  4 0 4
48.41  7  0 0 12
56.30  13  0 4 8
63.57  18  2 4 4
63.77  18  2 2 12
70.51  20  6 0 0
70.83  6  0 2 16

Structural model:
```
data_La8GeBi3Te4
_space_group_name_H-M_alt 'R -3 m'
_space_group_IT_number 166
_space_group_name_Hall '-R 3 2"'
_cell_length_a 9.2600
_cell_length_b 9.2600
_cell_length_c 22.5623
_cell_angle_alpha 90.00
_cell_angle_beta 90.00
_cell_angle_gamma 120.00
loop_
_atom_site_label
_atom_site_type_symbol
_atom_site_fract_x
_atom_site_fract_y
_atom_site_fract_z
La1 La 0.0000 0.0000 0.2496
La2 La 0.0141 0.5070 0.2462
Ge1 Ge 0.0000 0.0000 0.5000
Bi1 Bi 0.0000 0.5000 0.5000
Te1 Te 0.0000 0.0000 0.0000
Te2 Te 0.0000 0.5000 0.0000
```

=====

Record 8
The following is a calculated X-ray powder pattern of AcSmIn. It was derived from a structure optimized by DFT (GGA-PBE), using Cu Kα (weighted mean of Kα1 and Kα2).

Largest 10 diffraction maxima, sorted by position, 10° ≤ 2θ ≤ 80°:
two_theta  I (rel.)  h k l
21.92  10  0 1 1
29.38  100  0 1 2
32.91  77  1 1 0
44.69  32  2 0 2
49.75  12  1 0 4
56.61  32  1 2 2
57.38  12  1 1 4
58.77  15  3 0 0
69.03  9  2 2 0
76.74  13  3 1 2

Structural model:
```
data_AcSmIn
_space_group_name_H-M_alt 'P -3 m 1'
_space_group_IT_number 164
_space_group_name_Hall '-P 3 2"'
_cell_length_a 5.4424
_cell_length_b 5.4424
_cell_length_c 7.9564
_cell_angle_alpha 90.00
_cell_angle_beta 90.00
_cell_angle_gamma 120.00
loop_
_atom_site_label
_atom_site_type_symbol
_atom_site_fract_x
_atom_site_fract_y
_atom_site_fract_z
Ac1 Ac 0.3333 0.6667 0.3831
Sm1 Sm 0.3333 0.6667 0.8995
In1 In 0.0000 0.0000 0.2016
```